Computed powder X-ray diffraction pattern of Mn2AsHO5 for Cu Ka, from a DFT-relaxed cell (PBE+U, the Materials Project).

Atomic structure:
```
Mn2AsHO5
1.0
8.738 0.000 0.000
0.000 8.877 0.000
0.000 0.000 6.399
Mn As H O
8 4 4 20
Cartesian
0.000 0.000 1.576
0.000 0.000 4.823
1.225 3.266 0.000
3.143 7.705 3.200
4.369 4.439 1.624
4.369 4.439 4.776
5.594 1.173 3.200
7.512 5.611 0.000
2.130 6.597 0.000
2.239 2.159 3.200
6.498 6.719 3.200
6.608 2.280 0.000
1.871 0.812 0.000
2.498 5.250 3.200
6.240 3.627 3.200
6.867 8.065 0.000
0.752 1.269 3.200
0.898 5.390 0.000
0.961 1.156 0.000
1.953 7.611 1.392
1.953 7.611 5.008
2.416 3.173 1.808
2.416 3.173 4.591
3.408 5.594 3.200
3.471 0.951 3.200
3.617 5.707 0.000
5.121 3.170 0.000
5.267 7.926 3.200
5.329 3.283 3.200
6.321 5.705 1.808
6.321 5.705 4.591
6.785 1.266 1.392
6.785 1.266 5.008
7.777 7.721 0.000
7.839 3.487 0.000
7.985 7.609 3.200
```

The 10 most intense peaks (10° ≤ 2θ ≤ 80°), most intense first:
| Position (°2θ) | intensity |
| --- | --- |
| 28.7 | 100 |
| 17.1 | 97 |
| 19.9 | 77 |
| 14.2 | 56 |
| 35.0 | 55 |
| 34.6 | 54 |
| 31.4 | 46 |
| 35.3 | 46 |
| 54.5 | 38 |
| 34.8 | 31 |

=====

Computed powder X-ray diffraction pattern of Mn5As4H22O26 for Cu Ka, from a DFT-relaxed cell (PBE+U, the Materials Project).

Atomic structure:
```
Mn5As4H22O26
1.0
6.879 0.000 0.000
0.758 7.887 0.000
1.655 1.545 10.381
Mn As H O
5 4 22 26
Cartesian
0.000 0.000 0.000
2.158 5.896 5.912
4.108 7.870 4.217
5.184 1.562 6.164
7.134 3.536 4.469
1.669 1.338 6.985
3.663 3.534 3.748
5.628 5.897 6.633
7.623 8.094 3.396
1.255 3.907 1.355
2.238 3.849 8.087
2.752 7.404 8.904
3.353 6.817 10.290
2.037 1.959 3.050
1.963 1.642 0.644
3.419 4.930 8.106
2.824 3.939 1.195
3.205 8.039 1.062
4.095 2.264 8.581
4.140 6.037 2.206
5.152 3.395 8.175
5.197 7.168 1.800
6.087 1.393 9.319
6.468 5.493 9.186
5.873 4.502 2.275
7.329 7.790 9.737
7.255 7.472 7.332
5.938 2.614 0.091
6.540 2.027 1.477
7.054 5.583 2.294
8.037 5.525 9.026
1.922 7.548 7.349
2.018 2.202 8.550
2.081 7.312 4.264
2.442 4.816 7.905
3.179 7.658 9.771
2.276 4.189 4.576
1.980 3.742 0.698
1.857 0.678 0.456
3.126 1.273 5.980
3.076 1.927 3.112
4.261 6.209 5.602
4.278 7.042 2.146
4.132 4.411 2.327
5.160 5.020 8.054
5.014 2.390 8.235
5.030 3.223 4.780
6.216 7.504 7.269
6.166 8.158 4.401
7.435 8.754 9.926
7.312 5.689 9.683
7.015 5.243 5.805
6.113 1.774 0.610
6.849 4.616 2.476
7.211 2.120 6.117
7.274 7.229 1.831
7.370 1.884 3.032
```

The 10 most intense peaks (10° ≤ 2θ ≤ 80°), most intense first:
| Position (°2θ) | intensity |
| --- | --- |
| 26.5 | 100 |
| 28.9 | 84 |
| 31.9 | 67 |
| 29.3 | 63 |
| 25.5 | 53 |
| 30.6 | 53 |
| 11.3 | 50 |
| 33.0 | 49 |
| 22.8 | 48 |
| 23.1 | 43 |

=====

Question: What is the formula in the first record?
Answer: Mn2AsHO5

=====

Copy entry 1 word for word.
Computed powder X-ray diffraction pattern of Mn2AsHO5 for Cu Ka, from a DFT-relaxed cell (PBE+U, the Materials Project).

Atomic structure:
```
Mn2AsHO5
1.0
8.738 0.000 0.000
0.000 8.877 0.000
0.000 0.000 6.399
Mn As H O
8 4 4 20
Cartesian
0.000 0.000 1.576
0.000 0.000 4.823
1.225 3.266 0.000
3.143 7.705 3.200
4.369 4.439 1.624
4.369 4.439 4.776
5.594 1.173 3.200
7.512 5.611 0.000
2.130 6.597 0.000
2.239 2.159 3.200
6.498 6.719 3.200
6.608 2.280 0.000
1.871 0.812 0.000
2.498 5.250 3.200
6.240 3.627 3.200
6.867 8.065 0.000
0.752 1.269 3.200
0.898 5.390 0.000
0.961 1.156 0.000
1.953 7.611 1.392
1.953 7.611 5.008
2.416 3.173 1.808
2.416 3.173 4.591
3.408 5.594 3.200
3.471 0.951 3.200
3.617 5.707 0.000
5.121 3.170 0.000
5.267 7.926 3.200
5.329 3.283 3.200
6.321 5.705 1.808
6.321 5.705 4.591
6.785 1.266 1.392
6.785 1.266 5.008
7.777 7.721 0.000
7.839 3.487 0.000
7.985 7.609 3.200
```

The 10 most intense peaks (10° ≤ 2θ ≤ 80°), most intense first:
| Position (°2θ) | intensity |
| --- | --- |
| 28.7 | 100 |
| 17.1 | 97 |
| 19.9 | 77 |
| 14.2 | 56 |
| 35.0 | 55 |
| 34.6 | 54 |
| 31.4 | 46 |
| 35.3 | 46 |
| 54.5 | 38 |
| 34.8 | 31 |